The following is a calculated X-ray powder pattern of Nb7Zn6. It was derived from the GGA-PBE geometry in OQMD, using Cu Kα, 1.54184 Å.
No peak broadening, texture or thermal motion is included.

Lattice parameters (Å, degrees): 9.8029 9.8029 9.8029 30.13 30.13 30.13
Fractional coordinates of all 13 atoms:
Nb 0.0000 0.0000 0.0000
Nb 0.1675 0.1675 0.1675
Nb 0.3485 0.3485 0.3485
Nb 0.4559 0.4559 0.4559
Nb 0.5441 0.5441 0.5441
Nb 0.6515 0.6515 0.6515
Nb 0.8325 0.8325 0.8325
Zn 0.0904 0.0904 0.5821
Zn 0.0904 0.5821 0.0904
Zn 0.4179 0.9096 0.9096
Zn 0.5821 0.0904 0.0904
Zn 0.9096 0.4179 0.9096
Zn 0.9096 0.9096 0.4179

Largest 10 diffraction maxima, by angle, 2θ = 5–70°:
2theta, d [Å], Rel. int.
35.23, 2.548, 62
38.01, 2.367, 40
38.51, 2.338, 20
40.32, 2.237, 100
40.87, 2.208, 57
41.04, 2.200, 32
44.11, 2.053, 35
47.01, 1.933, 16
66.66, 1.403, 22
67.05, 1.396, 26



The following is a calculated X-ray powder pattern of NbZn13. It was derived from the GGA-PBE geometry in OQMD, using Cu Kα, 1.54184 Å.
No peak broadening, texture or thermal motion is included.

Lattice parameters (Å, degrees): 6.6190 6.6190 5.3785 98.35 98.35 71.10
Fractional coordinates of all 14 atoms:
Nb 0.0000 0.0000 0.0000
Zn 0.0000 0.0000 0.5000
Zn 0.0093 0.6390 0.6892
Zn 0.2265 0.6186 0.1775
Zn 0.2287 0.2287 0.8620
Zn 0.3610 0.9907 0.3108
Zn 0.3814 0.7735 0.8225
Zn 0.3832 0.3832 0.5471
Zn 0.6168 0.6168 0.4529
Zn 0.6186 0.2265 0.1775
Zn 0.6390 0.0093 0.6892
Zn 0.7713 0.7713 0.1380
Zn 0.7735 0.3814 0.8225
Zn 0.9907 0.3610 0.3108

Largest 10 diffraction maxima, by angle, 2θ = 5–70°:
2theta, d [Å], Rel. int.
34.94, 2.568, 16
40.51, 2.227, 51
40.66, 2.219, 100
40.74, 2.215, 31
41.40, 2.181, 47
42.42, 2.131, 66
43.60, 2.076, 26
44.33, 2.043, 29
47.24, 1.924, 10
57.26, 1.609, 11



The following is a calculated X-ray powder pattern of NbZn2. It was derived from the GGA-PBE geometry in OQMD, using Cu Kα, 1.54184 Å.
No peak broadening, texture or thermal motion is included.

Lattice parameters (Å, degrees): 10.5095 4.1596 4.1489 90.00 90.00 90.00
Fractional coordinates of all 12 atoms:
Nb 0.0000 0.2485 0.2500
Nb 0.0000 0.7515 0.7500
Nb 0.5000 0.2515 0.7500
Nb 0.5000 0.7485 0.2500
Zn 0.1775 0.2537 0.7500
Zn 0.1775 0.7463 0.2500
Zn 0.3225 0.2463 0.2500
Zn 0.3225 0.7537 0.7500
Zn 0.6775 0.2463 0.2500
Zn 0.6775 0.7537 0.7500
Zn 0.8225 0.2537 0.7500
Zn 0.8225 0.7463 0.2500

Largest 8 diffraction maxima, by angle, 2θ = 5–70°:
2theta, d [Å], Rel. int.
31.63, 2.829, 4
34.13, 2.627, 3
40.06, 2.251, 100
43.51, 2.080, 20
43.63, 2.074, 20
52.22, 1.752, 10
56.47, 1.629, 2
63.32, 1.469, 13



The following is a calculated X-ray powder pattern of ZrNb. It was derived from the GGA-PBE geometry in OQMD, using Cu Kα, 1.54184 Å.
No peak broadening, texture or thermal motion is included.

Lattice parameters (Å, degrees): 4.8230 9.0038 5.6849 90.00 90.00 90.00
Fractional coordinates of all 12 atoms:
Zr 0.0000 0.1191 0.0000
Zr 0.0000 0.2208 0.4825
Zr 0.0000 0.7792 0.9825
Zr 0.0000 0.8809 0.5000
Zr 0.5000 0.2957 0.7776
Zr 0.5000 0.7043 0.2776
Nb 0.0000 0.4606 0.9992
Nb 0.0000 0.5394 0.4992
Nb 0.5000 0.0474 0.2907
Nb 0.5000 0.3803 0.2665
Nb 0.5000 0.6197 0.7665
Nb 0.5000 0.9526 0.7907

Largest 10 diffraction maxima, by angle, 2θ = 5–70°:
2theta, d [Å], Rel. int.
33.77, 2.654, 30
35.22, 2.548, 50
36.70, 2.449, 100
37.29, 2.411, 51
38.72, 2.325, 63
43.87, 2.064, 25
51.18, 1.785, 18
58.90, 1.568, 21
66.86, 1.399, 17
67.40, 1.389, 13



The following is a calculated X-ray powder pattern of Zr4Nb3. It was derived from the GGA-PBE geometry in OQMD, using Cu Kα, 1.54184 Å.
No peak broadening, texture or thermal motion is included.

Lattice parameters (Å, degrees): 7.5415 4.8587 8.5194 90.00 110.93 90.00
Fractional coordinates of all 14 atoms:
Zr 0.0784 0.2500 0.0938
Zr 0.0825 0.7500 0.6233
Zr 0.1873 0.7500 0.3106
Zr 0.3660 0.2500 0.5378
Zr 0.6340 0.7500 0.4622
Zr 0.8127 0.2500 0.6894
Zr 0.9175 0.2500 0.3767
Zr 0.9216 0.7500 0.9062
Nb 0.2506 0.2500 0.8378
Nb 0.3643 0.7500 0.0366
Nb 0.4995 0.7500 0.7693
Nb 0.5005 0.2500 0.2307
Nb 0.6357 0.2500 0.9634
Nb 0.7494 0.7500 0.1622

Largest 10 diffraction maxima, by angle, 2θ = 5–70°:
2theta, d [Å], Rel. int.
36.41, 2.467, 98
36.66, 2.451, 100
36.85, 2.439, 47
37.00, 2.429, 51
52.04, 1.757, 16
53.22, 1.721, 32
65.56, 1.424, 15
65.94, 1.417, 13
66.30, 1.410, 16
66.44, 1.407, 31



The following is a calculated X-ray powder pattern of Nd. It was derived from the GGA-PBE geometry in OQMD, using Cu Kα, 1.54184 Å.
No peak broadening, texture or thermal motion is included.

Lattice parameters (Å, degrees): 8.8694 8.8694 8.8694 90.00 90.00 90.00
Fractional coordinates of all 20 atoms:
Nd 0.0441 0.1250 0.7941
Nd 0.0626 0.9374 0.4374
Nd 0.1250 0.7941 0.0441
Nd 0.1874 0.1874 0.1874
Nd 0.2059 0.5441 0.3750
Nd 0.2941 0.4559 0.8750
Nd 0.3126 0.8126 0.6874
Nd 0.3750 0.2059 0.5441
Nd 0.4374 0.0626 0.9374
Nd 0.4559 0.8750 0.2941
Nd 0.5441 0.3750 0.2059
Nd 0.5626 0.5626 0.5626
Nd 0.6250 0.7059 0.9559
Nd 0.6874 0.3126 0.8126
Nd 0.7059 0.9559 0.6250
Nd 0.7941 0.0441 0.1250
Nd 0.8126 0.6874 0.3126
Nd 0.8750 0.2941 0.4559
Nd 0.9374 0.4374 0.0626
Nd 0.9559 0.6250 0.7059

Largest 10 diffraction maxima, by angle, 2θ = 5–70°:
2theta, d [Å], Rel. int.
30.23, 2.956, 100
31.91, 2.805, 58
33.51, 2.674, 25
37.96, 2.370, 9
43.28, 2.091, 7
45.75, 1.983, 8
52.62, 1.739, 32
55.82, 1.647, 27
61.89, 1.499, 7
62.87, 1.478, 10



The following is a calculated X-ray powder pattern of Nd. It was derived from the GGA-PBE geometry in OQMD, using Cu Kα, 1.54184 Å.
No peak broadening, texture or thermal motion is included.

Lattice parameters (Å, degrees): 4.1247 4.1247 4.1247 90.00 90.00 90.00
Fractional coordinates of all 2 atoms:
Nd 0.0000 0.0000 0.0000
Nd 0.5000 0.5000 0.5000

Largest 4 diffraction maxima, by angle, 2θ = 5–70°:
2theta, d [Å], Rel. int.
30.65, 2.917, 100
43.90, 2.062, 19
54.49, 1.684, 40
63.83, 1.458, 12



The following is a calculated X-ray powder pattern of Nd. It was derived from the GGA-PBE geometry in OQMD, using Cu Kα, 1.54184 Å.
No peak broadening, texture or thermal motion is included.

Lattice parameters (Å, degrees): 3.6964 3.6964 5.9708 90.00 90.00 120.00
Fractional coordinates of all 2 atoms:
Nd 0.3333 0.6667 0.2500
Nd 0.6667 0.3333 0.7500

Largest 10 diffraction maxima, by angle, 2θ = 5–70°:
2theta, d [Å], Rel. int.
27.87, 3.201, 23
29.93, 2.985, 26
31.72, 2.821, 100
41.35, 2.183, 16
49.31, 1.848, 19
54.27, 1.690, 22
58.76, 1.571, 23
59.82, 1.546, 16
66.25, 1.411, 4
69.48, 1.353, 3